No. 1
Diffraction record for Y4MgPt. The powder X-ray diffraction pattern is theoretical, not measured: it uses the GGA-PBE geometry in the Materials Project and Cu Kα (λ = 1.5418 Å).
Lines closer than 0.1° are merged.

Largest 10 diffraction maxima, by angle, 2θ from 10° to 80°:
| 2θ/deg | d [Å] | intensity |
| --- | --- | --- |
| 11.05 | 8.007 | 53 |
| 21.25 | 4.182 | 19 |
| 28.04 | 3.182 | 16 |
| 31.60 | 2.831 | 30 |
| 33.58 | 2.669 | 100 |
| 36.65 | 2.452 | 42 |
| 50.55 | 1.806 | 16 |
| 56.28 | 1.634 | 31 |
| 57.55 | 1.601 | 14 |
| 70.20 | 1.341 | 19 |

Structure:
```
Y4MgPt
1.0
0.0000 6.9346 6.9346
6.9346 0.0000 6.9346
6.9346 6.9346 0.0000
Y Mg Pt
16 4 4
Direct
0.1844 0.1844 0.8156
0.1844 0.8156 0.1844
0.1844 0.8156 0.8156
0.4002 0.4002 0.4002
0.4002 0.4002 0.7993
0.4002 0.7993 0.4002
0.5616 0.5616 0.9384
0.5616 0.9384 0.5616
0.5616 0.9384 0.9384
0.7993 0.4002 0.4002
0.8156 0.1844 0.1844
0.8156 0.1844 0.8156
0.8156 0.8156 0.1844
0.9384 0.5616 0.5616
0.9384 0.5616 0.9384
0.9384 0.9384 0.5616
0.1698 0.1698 0.1698
0.1698 0.1698 0.4905
0.1698 0.4905 0.1698
0.4905 0.1698 0.1698
0.1774 0.6075 0.6075
0.6075 0.1774 0.6075
0.6075 0.6075 0.1774
0.6075 0.6075 0.6075
```

***

No. 2
Diffraction record for SmSI. The powder X-ray diffraction pattern is theoretical, not measured: it uses the GGA-PBE geometry in the Materials Project and Cu Kα (λ = 1.5418 Å).
Lines closer than 0.1° are merged.

Largest 10 diffraction maxima, by angle, 2θ from 10° to 80°:
| 2θ/deg | d [Å] | intensity |
| --- | --- | --- |
| 15.91 | 5.569 | 16 |
| 24.73 | 3.600 | 100 |
| 31.00 | 2.885 | 35 |
| 35.03 | 2.562 | 29 |
| 39.11 | 2.303 | 44 |
| 44.22 | 2.048 | 17 |
| 46.83 | 1.940 | 18 |
| 51.49 | 1.775 | 16 |
| 62.61 | 1.484 | 15 |
| 65.82 | 1.419 | 17 |

Structure:
```
SmSI
1.0
2.3030 1.3296 11.1387
-2.3030 1.3296 11.1387
0.0000 -2.6593 11.1387
Sm S I
2 2 2
Direct
0.1134 0.1134 0.1134
0.8866 0.8866 0.8866
0.1981 0.1981 0.1981
0.8019 0.8019 0.8019
0.3868 0.3868 0.3868
0.6132 0.6132 0.6132
```

***

No. 3
Diffraction record for ErInRh2. The powder X-ray diffraction pattern is theoretical, not measured: it uses the GGA-PBE geometry in the Materials Project and Cu Kα (λ = 1.5418 Å).
Lines closer than 0.1° are merged.

Largest 9 diffraction maxima, by angle, 2θ from 10° to 80°:
| 2θ/deg | d [Å] | intensity |
| --- | --- | --- |
| 23.26 | 3.825 | 2 |
| 26.92 | 3.312 | 3 |
| 38.44 | 2.342 | 100 |
| 45.41 | 1.997 | 1 |
| 47.55 | 1.912 | 1 |
| 55.49 | 1.656 | 17 |
| 60.97 | 1.520 | 1 |
| 62.73 | 1.481 | 1 |
| 69.52 | 1.352 | 34 |

Structure:
```
ErInRh2
1.0
0.0000 3.3121 3.3121
3.3121 0.0000 3.3121
3.3121 3.3121 0.0000
Er In Rh
1 1 2
Direct
0.0000 0.0000 0.0000
0.5000 0.5000 0.5000
0.2500 0.2500 0.2500
0.7500 0.7500 0.7500
```

***

No. 4
Diffraction record for Zn4RuN4. The powder X-ray diffraction pattern is theoretical, not measured: it uses the GGA-PBE geometry in the Materials Project and Cu Kα (λ = 1.5418 Å).
Lines closer than 0.1° are merged.

Largest 10 diffraction maxima, by angle, 2θ from 10° to 80°:
| 2θ/deg | d [Å] | intensity |
| --- | --- | --- |
| 31.73 | 2.820 | 30 |
| 34.25 | 2.618 | 62 |
| 34.52 | 2.599 | 100 |
| 34.74 | 2.582 | 57 |
| 35.35 | 2.539 | 76 |
| 36.57 | 2.457 | 34 |
| 36.72 | 2.448 | 38 |
| 38.15 | 2.359 | 63 |
| 45.40 | 1.998 | 27 |
| 57.74 | 1.597 | 26 |

Structure:
```
Zn4RuN4
1.0
5.6611 0.0000 0.0000
2.1324 5.3248 0.0000
1.7706 1.2459 7.6567
Zn Ru N
8 2 8
Direct
0.1311 0.1836 0.3884
0.2346 0.2611 0.0000
0.3459 0.8844 0.7519
0.3508 0.3949 0.6353
0.6492 0.6051 0.3647
0.6541 0.1156 0.2481
0.7654 0.7389 0.0000
0.8689 0.8164 0.6116
0.2206 0.6946 0.2123
0.7794 0.3054 0.7877
0.0020 0.4966 0.8093
0.0273 0.0709 0.6527
0.3641 0.8475 0.0064
0.3957 0.3816 0.3746
0.6043 0.6184 0.6254
0.6359 0.1525 0.9936
0.9727 0.9291 0.3473
0.9980 0.5034 0.1907
```

***

No. 5
Diffraction record for LiInPt. The powder X-ray diffraction pattern is theoretical, not measured: it uses the GGA-PBE geometry in the Materials Project and Cu Kα (λ = 1.5418 Å).
Lines closer than 0.1° are merged.

Largest 10 diffraction maxima, by angle, 2θ from 10° to 80°:
| 2θ/deg | d [Å] | intensity |
| --- | --- | --- |
| 23.13 | 3.845 | 68 |
| 38.72 | 2.326 | 100 |
| 40.64 | 2.220 | 59 |
| 47.28 | 1.923 | 10 |
| 57.38 | 1.606 | 32 |
| 64.07 | 1.453 | 8 |
| 68.76 | 1.365 | 7 |
| 72.67 | 1.301 | 31 |
| 73.95 | 1.282 | 10 |
| 78.38 | 1.220 | 17 |

Structure:
```
LiInPt
1.0
4.4398 0.0000 0.0000
-2.2199 3.8450 0.0000
0.0000 0.0000 2.9206
Li In Pt
1 1 1
Direct
0.0000 0.0000 0.0000
0.3333 0.6667 0.5000
0.6667 0.3333 0.0000
```

***

No. 6
Diffraction record for CeAlO3. The powder X-ray diffraction pattern is theoretical, not measured: it uses the GGA-PBE geometry in the Materials Project and Cu Kα (λ = 1.5418 Å).
Lines closer than 0.1° are merged.

Largest 10 diffraction maxima, by angle, 2θ from 10° to 80°:
| 2θ/deg | d [Å] | intensity |
| --- | --- | --- |
| 23.36 | 3.808 | 39 |
| 23.55 | 3.778 | 20 |
| 33.18 | 2.700 | 19 |
| 33.40 | 2.683 | 100 |
| 41.09 | 2.197 | 24 |
| 41.25 | 2.189 | 25 |
| 47.77 | 1.904 | 28 |
| 59.42 | 1.556 | 17 |
| 59.69 | 1.549 | 24 |
| 70.16 | 1.341 | 19 |

Structure:
```
CeAlO3
1.0
-2.6852 3.7783 2.7003
2.6852 -3.7783 2.7003
2.6852 3.7783 -2.7003
Ce Al O
2 2 6
Direct
0.2518 0.0018 0.2500
0.7482 0.9982 0.7500
0.0000 0.5000 0.5000
0.5000 0.5000 0.0000
0.1952 0.4452 0.7500
0.2786 0.0000 0.7786
0.2786 0.5000 0.2786
0.7214 0.0000 0.2214
0.7214 0.5000 0.7214
0.8048 0.5548 0.2500
```

***

No. 7
Diffraction record for KThTi2O6. The powder X-ray diffraction pattern is theoretical, not measured: it uses the GGA-PBE geometry in the Materials Project and Cu Kα (λ = 1.5418 Å).
Lines closer than 0.1° are merged.

Largest 10 diffraction maxima, by angle, 2θ from 10° to 80°:
| 2θ/deg | d [Å] | intensity |
| --- | --- | --- |
| 11.28 | 7.843 | 98 |
| 22.47 | 3.956 | 19 |
| 25.21 | 3.532 | 58 |
| 31.99 | 2.797 | 51 |
| 32.14 | 2.785 | 100 |
| 34.03 | 2.635 | 22 |
| 39.57 | 2.277 | 36 |
| 45.87 | 1.978 | 35 |
| 57.11 | 1.613 | 39 |
| 57.39 | 1.606 | 22 |

Structure:
```
KThTi2O6
1.0
3.9563 0.0000 0.0000
0.0000 3.9563 0.0000
0.0000 0.0000 7.8426
K Th Ti O
1 1 2 6
Direct
0.0000 0.0000 0.0000
0.0000 0.0000 0.5000
0.5000 0.5000 0.2460
0.5000 0.5000 0.7540
0.0000 0.5000 0.2854
0.0000 0.5000 0.7146
0.5000 0.0000 0.2854
0.5000 0.0000 0.7146
0.5000 0.5000 0.0000
0.5000 0.5000 0.5000
```